Record 1
This entry pairs a crystal structure of Rb3Tl2Au with its theoretical X-ray diffraction stick pattern. Radiation: Cu Kα (weighted mean of Kα1 and Kα2). Structure: a cell relaxed with GGA-PBE.
Kinematic intensities with the Lorentz-polarization factor, no thermal factor.

Cell: 17.778 4.894 14.525 Å, 90.00 117.79 90.00°
Space group C2/m (No. 12)
One atom of each set of equivalent atoms:
Rb: 0.104 0.000 0.240 x4
Rb: 0.155 0.500 0.013 x4
Rb: 0.157 0.000 0.569 x4
Tl: 0.007 0.500 0.621 x4
Tl: 0.112 0.000 0.792 x4
Au: 0.202 0.500 0.783 x4

Largest 10 diffraction maxima, by angle, 2θ from 10° to 90°:
| Position (°2θ) | I_rel |
| --- | --- |
| 10.09 | 100.0 |
| 13.78 | 23.8 |
| 26.20 | 30.0 |
| 26.40 | 18.6 |
| 27.94 | 29.5 |
| 30.93 | 25.4 |
| 33.88 | 29.9 |
| 34.74 | 13.0 |
| 34.91 | 14.6 |
| 36.72 | 20.4 |

Record 2
This entry pairs a crystal structure of Tb3Cd2Hg8 with its theoretical X-ray diffraction stick pattern. Radiation: Cu Kα (weighted mean of Kα1 and Kα2). Structure: a cell relaxed with GGA-PBE.
Kinematic intensities with the Lorentz-polarization factor, no thermal factor.

Cell: 6.0413 6.0413 32.9565 Å, 90.00 90.00 120.00°
Space group R-3m (No. 166, hexagonal axes)
One atom of each set of equivalent atoms:
Tb: 0.0000 0.0000 0.0000 x3
Tb: 0.0000 0.0000 0.1900 x6
Cd: 0.0000 0.0000 0.3672 x6
Hg: 0.0000 0.0000 0.2829 x6
Hg: 0.0000 0.5000 0.2245 x18

Largest 10 diffraction maxima, by angle, 2θ from 10° to 90°:
| Position (°2θ) | I_rel |
| --- | --- |
| 25.45 | 26.1 |
| 29.57 | 29.3 |
| 34.50 | 71.6 |
| 34.72 | 100.0 |
| 36.02 | 49.8 |
| 36.97 | 39.2 |
| 38.64 | 35.5 |
| 39.44 | 33.1 |
| 55.69 | 36.5 |
| 61.38 | 40.3 |

Record 3
This entry pairs a crystal structure of PrThZn with its theoretical X-ray diffraction stick pattern. Radiation: Cu Kα (weighted mean of Kα1 and Kα2). Structure: a cell relaxed with GGA-PBE.
Kinematic intensities with the Lorentz-polarization factor, no thermal factor.

Cell: 6.309 8.452 6.657 Å, 90.00 90.00 90.00°
Space group Pbcm (No. 57)
One atom of each set of equivalent atoms:
Pr: 0.127 0.104 0.250 x4
Th: 0.381 0.750 0.000 x4
Zn: 0.308 0.055 0.750 x4

Largest 10 diffraction maxima, by angle, 2θ from 10° to 90°:
| Position (°2θ) | I_rel |
| --- | --- |
| 25.37 | 46.1 |
| 28.75 | 30.3 |
| 30.24 | 89.8 |
| 30.36 | 58.0 |
| 32.20 | 100.0 |
| 33.16 | 41.2 |
| 34.29 | 75.1 |
| 34.88 | 66.6 |
| 37.22 | 30.2 |
| 51.42 | 56.1 |

Record 4
This entry pairs a crystal structure of Mg2CdO3 with its theoretical X-ray diffraction stick pattern. Radiation: Cu Kα (weighted mean of Kα1 and Kα2). Structure: a cell relaxed with GGA-PBE.
Kinematic intensities with the Lorentz-polarization factor, no thermal factor.

Cell: 5.854 10.193 5.810 Å, 90.00 108.94 90.00°
Space group Cc (No. 9)
One atom of each set of equivalent atoms:
Mg: 0.000 0.083 0.000 x4
Mg: 0.002 0.245 0.500 x4
Cd: 0.004 0.413 0.006 x4
O: 0.357 0.099 0.103 x4
O: 0.363 0.267 0.634 x4
O: 0.405 0.418 0.136 x4

Largest 10 diffraction maxima, by angle, 2θ from 10° to 90°:
| Position (°2θ) | I_rel |
| --- | --- |
| 18.23 | 43.9 |
| 20.64 | 12.6 |
| 23.81 | 27.7 |
| 32.38 | 100.0 |
| 32.57 | 48.1 |
| 35.86 | 13.8 |
| 37.48 | 21.4 |
| 54.18 | 31.2 |
| 54.54 | 20.6 |
| 64.35 | 16.6 |